For Li2AcCd2In2, DFT lattice parameters and positions (GGA-PBE) gives the calculated X-ray powder pattern in this record (CuKα).

Peak list (10 most intense, 2θ = 15–90°, by angle)
2θ (°), d/Å, I (rel.)
25.33, 3.516, 100
27.37, 3.259, 23
32.23, 2.777, 56
37.26, 2.413, 82
43.99, 2.058, 19
45.59, 1.990, 21
49.18, 1.852, 22
50.07, 1.822, 16
60.29, 1.535, 18
61.16, 1.515, 16

Cell and atoms:
```
7
Lattice="2.4132 1.3933 8.6713 -2.4132 1.3933 8.6713 0.0000 -2.7866 8.6713" Properties=species:S:1:pos:R:3 pbc="T T T"
Li 0.0000 0.0000 3.7058
Li 0.0000 0.0000 22.3081
Ac 0.0000 0.0000 0.0000
Cd 0.0000 0.0000 11.4807
Cd 0.0000 0.0000 14.5332
In 0.0000 0.0000 6.6290
In 0.0000 0.0000 19.3849
```

=====

For Ac2Mg3Cd4In, DFT lattice parameters and positions (GGA-PBE) gives the calculated X-ray powder pattern in this record (CuKα).

Peak list (10 most intense, 2θ = 15–90°, by angle)
2θ (°), d/Å, I (rel.)
20.03, 4.433, 21
29.03, 3.076, 53
30.37, 2.943, 100
37.75, 2.383, 45
41.93, 2.155, 28
48.32, 1.884, 26
52.99, 1.728, 13
54.45, 1.685, 15
57.68, 1.598, 22
63.63, 1.462, 25

Cell and atoms:
```
10
Lattice="4.7660 0.0000 0.0000 0.0000 4.7660 0.0000 0.0000 0.0000 12.0784" Properties=species:S:1:pos:R:3 pbc="T T T"
Ac 0.0000 2.3830 3.0205
Ac 2.3830 0.0000 9.0578
Mg 0.0000 0.0000 0.0000
Mg 0.0000 2.3830 7.6200
Mg 2.3830 0.0000 4.4584
Cd 0.0000 0.0000 6.0392
Cd 0.0000 2.3830 10.3874
Cd 2.3830 0.0000 1.6910
Cd 2.3830 2.3830 6.0392
In 2.3830 2.3830 0.0000
```